# RhAuCl
Computed powder XRD pattern, CuKα. Input: a DFT-relaxed cell (PBE, Alexandria).

Top 12 peaks for 2θ = 10–90°, low angle first:
2θ (°), Rel. int., hkl
28.19, 65, 0 1 -2
32.13, 67, 1 0 -1
32.27, 74, 1 1 2
36.18, 70, 0 1 -3
37.92, 100, 1 0 -2
38.13, 98, 1 1 3
39.95, 43, 0 2 0
40.73, 89, 1 -1 1
41.11, 61, 0 2 1
43.34, 97, 1 -1 2
45.29, 39, 0 1 -4
54.71, 46, 0 1 5

Cell and atoms:
```
data_RhAuCl
_chemical_formula_sum 'Rh2 Au2 Cl2'
_symmetry_space_group_name_H-M 'P -1'
_symmetry_Int_Tables_number 2
_symmetry_space_group_name_Hall '-P 1'
_cell_length_a 3.338
_cell_length_b 4.812
_cell_length_c 9.138
_cell_angle_alpha 85.82
_cell_angle_beta 79.79
_cell_angle_gamma 69.73
loop_
_atom_site_label
_atom_site_type_symbol
_atom_site_fract_x
_atom_site_fract_y
_atom_site_fract_z
Rh1 Rh 0.159 0.355 0.321
Au1 Au 0.388 0.787 0.434
Cl1 Cl 0.221 0.722 0.848
```